Record 1
The following is a computed powder diffraction line list of BaSrEuWO6. It was derived from a DFT-relaxed cell (GGA+U, Alexandria), using a wavelength of 1.5418 Å.
Peak positions follow from Bragg's law for the DFT cell and can differ from measured ones.

Structural model:
Cell: 6.013 6.136 8.593 Å, 90.78 91.09 90.03°
Element x y z (fractional)
Ba 0.004 0.036 0.252
Ba 0.996 0.964 0.748
Sr 0.000 0.500 0.500
Sr 0.500 0.000 0.000
Eu 0.480 0.544 0.253
Eu 0.520 0.456 0.747
W 0.000 0.500 0.000
W 0.500 0.000 0.500
O 0.114 0.513 0.785
O 0.189 0.751 0.057
O 0.231 0.822 0.469
O 0.250 0.310 0.061
O 0.333 0.268 0.442
O 0.429 0.055 0.719
O 0.571 0.945 0.281
O 0.667 0.732 0.558
O 0.750 0.690 0.939
O 0.769 0.178 0.531
O 0.811 0.249 0.943
O 0.886 0.487 0.215

Peak list (10 most intense, 15 to 90 degrees two-theta, by angle)
d_spacing  2θ (°)  I/Imax  (hkl)
4.967  17.9  18  1 0 -1
3.070  29.1  100  1 1 -2
3.044  29.3  51  -1 1 2
3.031  29.5  52  1 -1 2
3.004  29.7  98  1 1 2
2.147  42.1  72  0 0 4
1.770  51.6  20  0 2 -4
1.763  51.9  20  2 0 -4
1.751  52.2  19  -3 1 2
1.732  52.8  21  3 -1 2


Record 2
The following is a computed powder diffraction line list of BaEuYWO6. It was derived from a DFT-relaxed cell (GGA+U, Alexandria), using a wavelength of 1.5418 Å.
Peak positions follow from Bragg's law for the DFT cell and can differ from measured ones.

Structural model:
Cell: 5.935 5.962 8.461 Å, 89.66 89.94 89.80°
Element x y z (fractional)
Ba 0.003 0.019 0.251
Ba 0.997 0.981 0.749
Eu 0.499 0.533 0.247
Eu 0.501 0.467 0.753
Y 0.000 0.500 0.000
Y 0.500 0.000 0.500
W 0.000 0.500 0.500
W 0.500 0.000 0.000
O 0.078 0.490 0.738
O 0.213 0.763 0.475
O 0.238 0.797 0.022
O 0.263 0.301 0.457
O 0.304 0.279 0.045
O 0.450 0.043 0.763
O 0.550 0.957 0.237
O 0.696 0.721 0.955
O 0.737 0.699 0.543
O 0.762 0.203 0.978
O 0.787 0.237 0.525
O 0.922 0.510 0.262

Peak list (10 most intense, 15 to 90 degrees two-theta, by angle)
d_spacing  2θ (°)  I/Imax  (hkl)
2.989  29.9  68  -1 1 2
2.978  30.0  100  1 -1 2
2.968  30.1  33  2 0 0
2.115  42.7  19  0 0 4
2.107  42.9  18  2 2 0
2.099  43.1  17  2 -2 0
1.723  53.2  21  2 0 4
1.720  53.3  21  3 1 2
1.715  53.4  28  -3 1 2
1.330  70.8  11  4 2 0